Record 1
The following is a computed powder X-ray diffraction pattern of Rb4DyBi3O12. It was derived from a PBE-relaxed structure, using copper Kα.
Kinematic intensities with the Lorentz-polarization factor, no thermal factor.

Peak list (6 most intense, 10 to 90 degrees two-theta, in order of rising 2θ)
2theta	d [Å]	I (rel.)
20.40	4.353	26
29.01	3.078	100
41.49	2.176	30
51.42	1.777	42
60.12	1.539	19
83.01	1.163	23

Crystal structure
```
data_Rb4DyBi3O12
_space_group_name_H-M_alt 'P 1'
_space_group_IT_number 1
_space_group_name_Hall 'P 1'
_cell_length_a 7.5393
_cell_length_b 7.5393
_cell_length_c 7.5393
_cell_angle_alpha 109.47
_cell_angle_beta 109.47
_cell_angle_gamma 109.47
loop_
_atom_site_label
_atom_site_type_symbol
_atom_site_fract_x
_atom_site_fract_y
_atom_site_fract_z
_atom_site_occupancy
Rb1 Rb 0.0000 0.0000 0.5000 1
Rb2 Rb 0.0000 0.5000 0.0000 1
Rb3 Rb 0.5000 0.0000 0.0000 1
Rb4 Rb 0.5000 0.5000 0.5000 1
Dy1 Dy 0.0000 0.0000 0.0000 1
Bi1 Bi 0.0000 0.5000 0.5000 1
Bi2 Bi 0.5000 0.0000 0.5000 1
Bi3 Bi 0.5000 0.5000 0.0000 1
O1 O 0.0000 0.2598 0.2598 1
O2 O 0.0000 0.7402 0.7402 1
O3 O 0.2500 0.5000 0.7500 1
O4 O 0.2500 0.7500 0.5000 1
O5 O 0.2598 0.0000 0.2598 1
O6 O 0.2598 0.2598 0.0000 1
O7 O 0.5000 0.2500 0.7500 1
O8 O 0.5000 0.7500 0.2500 1
O9 O 0.7402 0.0000 0.7402 1
O10 O 0.7402 0.7402 0.0000 1
O11 O 0.7500 0.2500 0.5000 1
O12 O 0.7500 0.5000 0.2500 1
```

***

Record 2
The following is a computed powder X-ray diffraction pattern of DyBi3Ru4O14. It was derived from a PBE-relaxed structure, using copper Kα.
Kinematic intensities with the Lorentz-polarization factor, no thermal factor.

Peak list (6 most intense, 10 to 90 degrees two-theta, in order of rising 2θ)
2theta	d [Å]	I (rel.)
29.80	2.999	33
29.94	2.985	100
34.66	2.588	47
49.74	1.833	31
49.93	1.827	30
59.26	1.559	44

Crystal structure
```
data_DyBi3Ru4O14
_space_group_name_H-M_alt 'P 1'
_space_group_IT_number 1
_space_group_name_Hall 'P 1'
_cell_length_a 7.3321
_cell_length_b 7.3321
_cell_length_c 7.3321
_cell_angle_alpha 59.77
_cell_angle_beta 59.77
_cell_angle_gamma 59.77
loop_
_atom_site_label
_atom_site_type_symbol
_atom_site_fract_x
_atom_site_fract_y
_atom_site_fract_z
_atom_site_occupancy
Dy1 Dy 0.0000 0.0000 0.0000 1
Bi1 Bi 0.0000 0.0000 0.5000 1
Bi2 Bi 0.0000 0.5000 0.0000 1
Bi3 Bi 0.5000 0.0000 0.0000 1
Ru1 Ru 0.0000 0.5000 0.5000 1
Ru2 Ru 0.5000 0.0000 0.5000 1
Ru3 Ru 0.5000 0.5000 0.0000 1
Ru4 Ru 0.5000 0.5000 0.5000 1
O1 O 0.1208 0.1208 0.1208 1
O2 O 0.1692 0.1692 0.5798 1
O3 O 0.1692 0.5798 0.1692 1
O4 O 0.1712 0.5791 0.5791 1
O5 O 0.4202 0.8308 0.8308 1
O6 O 0.4209 0.4209 0.8288 1
O7 O 0.4209 0.8288 0.4209 1
O8 O 0.5791 0.1712 0.5791 1
O9 O 0.5791 0.5791 0.1712 1
O10 O 0.5798 0.1692 0.1692 1
O11 O 0.8288 0.4209 0.4209 1
O12 O 0.8308 0.4202 0.8308 1
O13 O 0.8308 0.8308 0.4202 1
O14 O 0.8792 0.8792 0.8792 1
```

***

Record 3
The following is a computed powder X-ray diffraction pattern of DyBiSO2. It was derived from a PBE-relaxed structure, using copper Kα.
Kinematic intensities with the Lorentz-polarization factor, no thermal factor.

Peak list (6 most intense, 10 to 90 degrees two-theta, in order of rising 2θ)
2theta	d [Å]	I (rel.)
14.48	6.115	29
26.67	3.343	100
31.60	2.831	43
32.57	2.749	40
33.10	2.706	46
33.42	2.681	30

Crystal structure
```
data_DyBiSO2
_space_group_name_H-M_alt 'P 1'
_space_group_IT_number 1
_space_group_name_Hall 'P 1'
_cell_length_a 6.3561
_cell_length_b 3.9917
_cell_length_c 7.6519
_cell_angle_alpha 90.00
_cell_angle_beta 105.82
_cell_angle_gamma 90.00
loop_
_atom_site_label
_atom_site_type_symbol
_atom_site_fract_x
_atom_site_fract_y
_atom_site_fract_z
_atom_site_occupancy
Dy1 Dy 0.1936 0.2500 0.4282 1
Dy2 Dy 0.8064 0.7500 0.5718 1
Bi1 Bi 0.1979 0.2500 0.9111 1
Bi2 Bi 0.8021 0.7500 0.0889 1
S1 S 0.4418 0.7500 0.7047 1
S2 S 0.5582 0.2500 0.2953 1
O1 O 0.0055 0.7500 0.8791 1
O2 O 0.0210 0.7500 0.3734 1
O3 O 0.9790 0.2500 0.6266 1
O4 O 0.9945 0.2500 0.1209 1
```

***

Record 4
The following is a computed powder X-ray diffraction pattern of DyScBiO2. It was derived from a PBE-relaxed structure, using copper Kα.
Kinematic intensities with the Lorentz-polarization factor, no thermal factor.

Peak list (6 most intense, 10 to 90 degrees two-theta, in order of rising 2θ)
2theta	d [Å]	I (rel.)
24.45	3.641	24
31.12	2.874	100
33.47	2.677	35
48.06	1.893	17
53.83	1.703	24
58.37	1.581	34

Crystal structure
```
data_DyScBiO2
_space_group_name_H-M_alt 'P 1'
_space_group_IT_number 1
_space_group_name_Hall 'P 1'
_cell_length_a 3.7865
_cell_length_b 3.7865
_cell_length_c 13.2414
_cell_angle_alpha 90.00
_cell_angle_beta 90.00
_cell_angle_gamma 90.00
loop_
_atom_site_label
_atom_site_type_symbol
_atom_site_fract_x
_atom_site_fract_y
_atom_site_fract_z
_atom_site_occupancy
Dy1 Dy 0.0000 0.0000 0.0000 1
Dy2 Dy 0.5000 0.5000 0.5000 1
Sc1 Sc 0.0000 0.0000 0.6580 1
Sc2 Sc 0.5000 0.5000 0.1580 1
Bi1 Bi 0.0000 0.0000 0.3273 1
Bi2 Bi 0.5000 0.5000 0.8273 1
O1 O 0.0000 0.5000 0.0889 1
O2 O 0.0000 0.5000 0.5889 1
O3 O 0.5000 0.0000 0.0889 1
O4 O 0.5000 0.0000 0.5889 1
```

***

Record 5
The following is a computed powder X-ray diffraction pattern of DyBiSeO2. It was derived from a PBE-relaxed structure, using copper Kα.
Kinematic intensities with the Lorentz-polarization factor, no thermal factor.

Peak list (6 most intense, 10 to 90 degrees two-theta, in order of rising 2θ)
2theta	d [Å]	I (rel.)
26.21	3.401	100
31.01	2.884	62
31.84	2.811	60
32.74	2.735	60
33.01	2.714	36
36.11	2.487	43

Crystal structure
```
data_DyBiSeO2
_space_group_name_H-M_alt 'P 1'
_space_group_IT_number 1
_space_group_name_Hall 'P 1'
_cell_length_a 6.5609
_cell_length_b 4.0349
_cell_length_c 7.7269
_cell_angle_alpha 90.00
_cell_angle_beta 105.64
_cell_angle_gamma 90.00
loop_
_atom_site_label
_atom_site_type_symbol
_atom_site_fract_x
_atom_site_fract_y
_atom_site_fract_z
_atom_site_occupancy
Dy1 Dy 0.1811 0.2500 0.4242 1
Dy2 Dy 0.8189 0.7500 0.5758 1
Bi1 Bi 0.1920 0.2500 0.9111 1
Bi2 Bi 0.8080 0.7500 0.0889 1
Se1 Se 0.4449 0.7500 0.7142 1
Se2 Se 0.5551 0.2500 0.2858 1
O1 O 0.0038 0.7500 0.8768 1
O2 O 0.0212 0.7500 0.3765 1
O3 O 0.9788 0.2500 0.6235 1
O4 O 0.9962 0.2500 0.1232 1
```

***

Record 6
The following is a computed powder X-ray diffraction pattern of Dy4Bi2Os. It was derived from a PBE-relaxed structure, using copper Kα.
Kinematic intensities with the Lorentz-polarization factor, no thermal factor.

Peak list (6 most intense, 10 to 90 degrees two-theta, in order of rising 2θ)
2theta	d [Å]	I (rel.)
24.28	3.666	52
31.19	2.867	100
31.34	2.854	66
33.74	2.657	54
41.17	2.193	41
43.88	2.063	39

Crystal structure
```
data_Dy4Bi2Os
_space_group_name_H-M_alt 'P 1'
_space_group_IT_number 1
_space_group_name_Hall 'P 1'
_cell_length_a 7.9720
_cell_length_b 12.2299
_cell_length_c 4.3851
_cell_angle_alpha 90.00
_cell_angle_beta 90.00
_cell_angle_gamma 90.00
loop_
_atom_site_label
_atom_site_type_symbol
_atom_site_fract_x
_atom_site_fract_y
_atom_site_fract_z
_atom_site_occupancy
Dy1 Dy 0.1305 0.1963 0.0000 1
Dy2 Dy 0.2082 0.9430 0.5000 1
Dy3 Dy 0.2918 0.4430 0.5000 1
Dy4 Dy 0.3695 0.6963 0.0000 1
Dy5 Dy 0.6305 0.3037 0.0000 1
Dy6 Dy 0.7082 0.5570 0.5000 1
Dy7 Dy 0.7918 0.0570 0.5000 1
Dy8 Dy 0.8695 0.8037 0.0000 1
Bi1 Bi 0.0794 0.6726 0.5000 1
Bi2 Bi 0.4206 0.1726 0.5000 1
Bi3 Bi 0.5794 0.8274 0.5000 1
Bi4 Bi 0.9206 0.3274 0.5000 1
Os1 Os 0.0000 0.0000 0.0000 1
Os2 Os 0.5000 0.5000 0.0000 1
```